# LiSm2HfS5
Simulated powder XRD pattern, Cu Kα (λ = 1.5418 Å). Input: a cell relaxed with PBE.

Crystal structure
Cell: 8.3584 8.3584 11.6696 Å, 90.00 90.00 153.51°
Element x y z (fractional)
Li 0.0460 0.9540 0.5000
Li 0.9540 0.0460 0.0000
Sm 0.3692 0.6308 0.3479
Sm 0.3928 0.6072 0.7316
Sm 0.6072 0.3928 0.2316
Sm 0.6308 0.3692 0.8479
Hf 0.3020 0.6980 0.0580
Hf 0.6980 0.3020 0.5580
S 0.0051 0.9949 0.8192
S 0.1423 0.8577 0.0457
S 0.1903 0.8097 0.4053
S 0.2173 0.7827 0.7090
S 0.4468 0.5532 0.1053
S 0.5532 0.4468 0.6053
S 0.7827 0.2173 0.2090
S 0.8097 0.1903 0.9053
S 0.8577 0.1423 0.5457
S 0.9949 0.0051 0.3192

Most intense lines, 10° ≤ 2θ ≤ 90°, most intense first:
33.29 deg, I 100; 39.48 deg, I 53; 25.38 deg, I 51; 23.87 deg, I 32; 33.94 deg, I 31; 28.53 deg, I 28; 18.71 deg, I 25; 10.87 deg, I 24; 23.15 deg, I 23; 47.48 deg, I 20